Starting from the GGA-PBE geometry in Alexandria, the X-ray diffraction stick pattern of BaCe4Se8 was simulated for Cu Kα X-rays.
Neutral-atom scattering factors, no anomalous dispersion.

The 6 most intense peaks (2θ from 15° to 90°), low angle first:
2θ 23.9, rel. 33
2θ 26.4, rel. 45
2θ 26.7, rel. 92
2θ 33.0, rel. 52
2θ 33.6, rel. 100
2θ 42.1, rel. 60

Structural model:
Cell: 8.5891 8.5891 10.5989 Å, 126.28 126.28 60.18°
Sites, in units of the cell vectors:
Ba  0.0000  0.0000  0.0000
Ce  0.2544  0.7456  0.5000
Ce  0.2722  0.2722  0.5417
Ce  0.7278  0.7278  0.4583
Ce  0.7456  0.2544  0.5000
Se  0.0025  0.0025  0.3180
Se  0.0047  0.4652  0.3015
Se  0.4652  0.0047  0.3015
Se  0.4749  0.4749  0.2916
Se  0.5251  0.5251  0.7084
Se  0.5348  0.9953  0.6985
Se  0.9953  0.5348  0.6985
Se  0.9975  0.9975  0.6820